Mg3In4Sn: computed X-ray diffraction stick pattern (Cu Kα (λ = 1.5418 Å)), based on the GGA-PBE geometry in Alexandria.
Neutral-atom scattering factors, no anomalous dispersion.

Largest 10 diffraction maxima, by angle, 2θ = 10–90°:
| d/Å | Position (°2θ) | I (rel.) | hkl |
| --- | --- | --- | --- |
| 3.674 | 24.23 | 93 | 4 0 1 |
| 3.488 | 25.54 | 53 | 6 0 -1 |
| 3.204 | 27.84 | 100 | 1 1 0 |
| 2.878 | 31.08 | 44 | 8 0 -1 |
| 2.524 | 35.56 | 75 | 8 0 1 |
| 2.510 | 35.78 | 59 | 2 0 -2 |
| 2.318 | 38.84 | 60 | 5 1 1 |
| 2.260 | 39.89 | 93 | 7 1 -1 |
| 1.970 | 46.09 | 42 | 3 1 -2 |
| 1.883 | 48.33 | 30 | 11 1 0 |

Crystal structure
Unit cell a=25.7632 b=3.2299 c=5.0260 alpha=90.00 beta=98.25 gamma=90.00
Space group C2/m (No. 12)
Asymmetric unit:
Mg: 0.0000 0.0000 0.0000
Mg: 0.2128 0.0000 0.2358
In: 0.1020 0.5000 0.1604
In: 0.1696 0.5000 0.7077
Sn: 0.0000 0.5000 0.5000

SrCdHg14: computed X-ray diffraction stick pattern (Cu Kα (λ = 1.5418 Å)), based on the GGA-PBE geometry in Alexandria.
Neutral-atom scattering factors, no anomalous dispersion.

Largest 10 diffraction maxima, by angle, 2θ = 10–90°:
| d/Å | Position (°2θ) | I (rel.) | hkl |
| --- | --- | --- | --- |
| 3.169 | 28.16 | 46 | 3 2 1 |
| 3.016 | 29.62 | 91 | 0 4 0 |
| 2.903 | 30.80 | 100 | 4 0 0 |
| 2.857 | 31.31 | 42 | 1 4 1 |
| 2.651 | 33.82 | 88 | 1 0 5 |
| 2.646 | 33.88 | 38 | 3 2 3 |
| 2.345 | 38.39 | 40 | 3 4 1 |
| 2.227 | 40.51 | 62 | 3 0 5 |
| 2.074 | 43.64 | 37 | 4 2 4 |
| 2.000 | 45.34 | 44 | 4 4 2 |

Crystal structure
Unit cell a=11.6115 b=12.0757 c=13.6117 alpha=90.00 beta=90.00 gamma=90.00
Space group Imma (No. 74)
Asymmetric unit:
Sr: 0.0000 0.2500 0.0697
Cd: 0.0000 0.0000 0.5000
Hg: 0.1246 0.2500 0.7279
Hg: 0.1299 0.2500 0.2851
Hg: 0.1342 0.0032 0.3099
Hg: 0.1418 0.0855 0.9140
Hg: 0.1504 0.2500 0.5041

K3ReO6: computed X-ray diffraction stick pattern (Cu Kα (λ = 1.5418 Å)), based on the GGA-PBE geometry in Alexandria.
Neutral-atom scattering factors, no anomalous dispersion.

Largest 10 diffraction maxima, by angle, 2θ = 10–90°:
| d/Å | Position (°2θ) | I (rel.) | hkl |
| --- | --- | --- | --- |
| 5.215 | 17.00 | 62 | 0 1 1 |
| 5.133 | 17.28 | 58 | 1 0 -2 |
| 4.490 | 19.77 | 46 | 1 1 -1 |
| 4.462 | 19.90 | 22 | 0 0 2 |
| 3.214 | 27.76 | 25 | 0 2 0 |
| 3.165 | 28.20 | 100 | 1 1 1 |
| 3.137 | 28.45 | 24 | 2 0 -2 |
| 2.688 | 33.33 | 23 | 1 0 -4 |
| 2.245 | 40.17 | 28 | 2 2 -2 |
| 1.818 | 50.19 | 23 | 2 0 -6 |

Crystal structure
Unit cell a=6.2748 b=6.4273 c=10.8991 alpha=90.00 beta=125.04 gamma=90.00
Space group P2_1/c (No. 14)
Asymmetric unit:
K: 0.0000 0.0000 0.0000
K: 0.2379 0.0397 0.7477
Re: 0.5000 0.0000 0.5000
O: 0.2243 0.1667 0.4670
O: 0.2904 0.7397 0.9500
O: 0.3760 0.0329 0.2972